1.
Nd3ErSn2: simulated XRD peak list (λ = 1.5418 Å (Cu Kα)), based on a PBE-relaxed structure.
Kinematic intensities with the Lorentz-polarization factor, no thermal factor.

a b c (Å): 6.573 17.393 6.548
angles (deg): 90.00 90.00 90.00
Space group Ibam (No. 72)
Unique sites:
Nd 0.000 0.000 0.250
Nd 0.247 0.175 0.000
Er 0.000 0.500 0.250
Sn 0.243 0.363 0.000

Main lines, in order of falling intensity (2θ = 10–90°):
- 2θ 34.2, d = 2.619 Å, intensity 100, (0 4 2)
- 2θ 38.8, d = 2.320 Å, intensity 63, (2 0 2)
- 2θ 29.0, d = 3.074 Å, intensity 51, (2 2 0)
- 2θ 29.1, d = 3.064 Å, intensity 51, (0 2 2)
- 2θ 50.4, d = 1.811 Å, intensity 51, (2 6 2)
- 2θ 30.8, d = 2.899 Å, intensity 40, (0 6 0)
- 2θ 36.6, d = 2.458 Å, intensity 19, (1 6 1)
- 2θ 28.1, d = 3.173 Å, intensity 17, (1 4 1)
- 2θ 67.3, d = 1.392 Å, intensity 15, (4 4 2)
- 2θ 67.4, d = 1.389 Å, intensity 14, (2 4 4)

---

2.
YHgPd: simulated XRD peak list (λ = 1.5418 Å (Cu Kα)), based on a PBE-relaxed structure.
Kinematic intensities with the Lorentz-polarization factor, no thermal factor.

a b c (Å): 3.729 3.729 9.276
angles (deg): 90.00 90.00 90.00
Space group I4mm (No. 107)
Unique sites:
Y 0.000 0.000 0.000
Hg 0.000 0.000 0.324
Pd 0.000 0.000 0.657

Main lines, in order of falling intensity (2θ = 10–90°):
- 2θ 37.8, d = 2.380 Å, intensity 100, (1 0 3)
- 2θ 34.0, d = 2.637 Å, intensity 67, (1 1 0)
- 2θ 63.4, d = 1.468 Å, intensity 44, (2 1 3)
- 2θ 48.8, d = 1.865 Å, intensity 24, (2 0 0)
- 2θ 25.7, d = 3.460 Å, intensity 19, (1 0 1)
- 2θ 70.6, d = 1.334 Å, intensity 16, (1 1 6)
- 2θ 80.7, d = 1.190 Å, intensity 11, (2 0 6)
- 2θ 81.6, d = 1.179 Å, intensity 11, (3 1 0)
- 2θ 83.9, d = 1.153 Å, intensity 10, (3 0 3)
- 2θ 71.6, d = 1.319 Å, intensity 8, (2 2 0)

---

3.
PrHo2Er8: simulated XRD peak list (λ = 1.5418 Å (Cu Kα)), based on a PBE-relaxed structure.
Kinematic intensities with the Lorentz-polarization factor, no thermal factor.

a b c (Å): 17.262 5.404 8.305
angles (deg): 90.00 116.44 90.00
Space group C2/m (No. 12)
Unique sites:
Pr 0.000 0.000 0.000
Ho 0.202 0.500 0.658
Er 0.019 0.500 0.722
Er 0.118 0.000 0.444
Er 0.160 0.500 0.199
Er 0.167 0.000 0.893

Main lines, in order of falling intensity (2θ = 10–90°):
- 2θ 31.8, d = 2.814 Å, intensity 100, (1 1 2)
- 2θ 33.1, d = 2.703 Å, intensity 78, (0 2 0)
- 2θ 30.7, d = 2.908 Å, intensity 64, (5 1 -1)
- 2θ 32.8, d = 2.734 Å, intensity 27, (5 1 -2)
- 2θ 47.6, d = 1.911 Å, intensity 22, (4 2 -3)
- 2θ 58.4, d = 1.581 Å, intensity 18, (1 3 2)
- 2θ 59.0, d = 1.566 Å, intensity 17, (3 1 -5)
- 2θ 34.8, d = 2.576 Å, intensity 14, (6 0 0)
- 2θ 33.4, d = 2.683 Å, intensity 13, (5 1 0)
- 2θ 64.1, d = 1.453 Å, intensity 12, (11 1 -1)

---

4.
DyY3Ho7: simulated XRD peak list (λ = 1.5418 Å (Cu Kα)), based on a PBE-relaxed structure.
Kinematic intensities with the Lorentz-polarization factor, no thermal factor.

a b c (Å): 6.970 5.506 9.862
angles (deg): 90.00 110.34 90.00
Space group P2/m (No. 10)
Unique sites:
Dy 0.000 0.000 0.000
Y 0.222 0.500 0.502
Y 0.500 0.000 0.000
Ho 0.082 0.000 0.670
Ho 0.179 0.500 0.859
Ho 0.352 0.500 0.208
Ho 0.500 0.000 0.500

Main lines, in order of falling intensity (2θ = 10–90°):
- 2θ 31.9, d = 2.803 Å, intensity 100, (2 1 -2)
- 2θ 31.8, d = 2.812 Å, intensity 91, (2 1 0)
- 2θ 32.5, d = 2.753 Å, intensity 66, (0 2 0)
- 2θ 33.3, d = 2.690 Å, intensity 63, (0 1 3)
- 2θ 57.6, d = 1.600 Å, intensity 36, (2 3 0)
- 2θ 25.6, d = 3.485 Å, intensity 25, (2 0 -1)
- 2θ 25.1, d = 3.541 Å, intensity 25, (0 1 2)
- 2θ 63.1, d = 1.472 Å, intensity 19, (4 2 -2)
- 2θ 32.3, d = 2.775 Å, intensity 17, (2 0 -3)
- 2θ 32.1, d = 2.791 Å, intensity 16, (2 0 1)

---

- Number 3 is which compound?
  PrHo2Er8